(1)
Diffraction record for Sr2LiLaTaO6. The powder diffraction line list is simulated, not measured: it uses the GGA-PBE geometry in the Materials Project and Cu Kα X-rays.

Structural model:
a = 6.076 Å, b = 6.248 Å, c = 9.101 Å
α = 90.00°, β = 90.00°, γ = 90.00°
Space group Immm (No. 71)
Unique sites:
Sr 0.000 0.000 0.184 [4 per cell]
Li 0.000 0.000 0.500 [2 per cell]
La 0.000 0.500 0.000 [2 per cell]
Ta 0.000 0.500 0.500 [2 per cell]
O 0.000 0.500 0.276 [4 per cell]
O 0.236 0.272 0.500 [8 per cell]

Main lines, in order of rising 2θ (2θ from 10° to 80°):
d [Å]	2θ/deg	intensity
4.550	19.51	23
3.147	28.36	100
3.124	28.58	34
3.038	29.40	31
2.178	41.46	40
2.017	44.95	22


(2)
Diffraction record for Sr2LiLaTaO6. The powder diffraction line list is simulated, not measured: it uses the GGA-PBE geometry in the Materials Project and Cu Kα X-rays.

Structural model:
a = 10.107 Å, b = 5.839 Å, c = 6.824 Å
α = 90.00°, β = 119.58°, γ = 90.00°
Space group Cm (No. 8)
Unique sites:
Sr 0.000 0.000 0.000 [2 per cell]
Sr 0.090 0.500 0.770 [2 per cell]
Li 0.416 0.000 0.252 [2 per cell]
La 0.288 0.500 0.367 [2 per cell]
Ta 0.278 0.000 0.835 [2 per cell]
O 0.015 0.500 0.070 [2 per cell]
O 0.057 0.000 0.671 [2 per cell]
O 0.276 0.238 0.070 [4 per cell]
O 0.307 0.250 0.673 [4 per cell]

Main lines, in order of rising 2θ (2θ from 10° to 80°):
d [Å]	2θ/deg	intensity
5.935	14.93	31
4.396	20.20	48
3.341	26.68	72
2.918	30.64	100
2.198	41.07	41
2.081	43.49	40